Diffraction record for CaInGaSn. The powder XRD pattern is theoretical, not measured: it uses a DFT-relaxed cell (PBE, Alexandria) and Cu Kα X-rays.
Neutral-atom scattering factors, no anomalous dispersion.

Cell and atoms:
```
4
Lattice="4.4844 0.0000 0.0000 0.0000 4.6384 0.0000 0.0000 0.0000 4.7641" Properties=species:S:1:pos:R:3 pbc="T T T"
Ca 0.0000 0.0000 0.0000
In 0.0000 2.3192 2.3821
Ga 2.2422 2.3192 0.0000
Sn 2.2422 0.0000 2.3821
```

Most intense lines, 10° ≤ 2θ ≤ 90°, by angle:
18.62 deg, rel. 12; 33.56 deg, rel. 100; 37.77 deg, rel. 18; 38.83 deg, rel. 17; 40.22 deg, rel. 15; 55.28 deg, rel. 12; 65.52 deg, rel. 14; 66.96 deg, rel. 13; 68.87 deg, rel. 12; 70.54 deg, rel. 11

---

Diffraction record for Ba3Sr5Ca. The powder XRD pattern is theoretical, not measured: it uses a DFT-relaxed cell (PBE, Alexandria) and Cu Kα X-rays.
Neutral-atom scattering factors, no anomalous dispersion.

Cell and atoms:
```
18
Lattice="11.1846 -3.7161 0.0000 11.1846 3.7161 0.0000 -5.1805 0.0000 12.8671" Properties=species:S:1:pos:R:3 pbc="T T T"
Ba 0.0000 0.0000 0.0000
Ba -2.5903 0.0000 6.4336
Ba 2.5735 1.6404 12.5446
Ba 12.0249 1.6404 6.7561
Ba 5.1638 -1.6404 6.1110
Ba 14.6151 -1.6404 0.3226
Sr 4.0841 2.1559 8.1569
Sr 6.0216 1.7776 3.8047
Sr 10.5143 2.1559 11.1438
Sr 13.7574 1.7776 2.6289
Sr 7.2992 0.3023 9.6504
Sr 9.8895 -0.3023 3.2168
Sr 3.4313 -1.7776 10.2383
Sr 6.6744 -2.1559 1.7233
Sr 11.1671 -1.7776 9.0625
Sr 13.1045 -2.1559 4.7102
Ca 9.8895 3.3329 3.2168
Ca 7.2992 -3.3329 9.6504
```

Most intense lines, 10° ≤ 2θ ≤ 90°, by angle:
19.11 deg, rel. 12; 23.23 deg, rel. 27; 23.94 deg, rel. 16; 25.46 deg, rel. 35; 25.73 deg, rel. 100; 26.53 deg, rel. 42; 29.57 deg, rel. 30; 35.45 deg, rel. 13; 46.30 deg, rel. 14; 46.43 deg, rel. 14

---

Diffraction record for LiDy2GePd6. The powder XRD pattern is theoretical, not measured: it uses a DFT-relaxed cell (PBE, Alexandria) and Cu Kα X-rays.
Neutral-atom scattering factors, no anomalous dispersion.

Cell and atoms:
```
10
Lattice="5.6083 0.0000 0.0000 2.7406 4.9523 0.0000 1.4835 1.8470 6.6264" Properties=species:S:1:pos:R:3 pbc="T T T"
Li 0.0000 0.0000 0.0000
Dy 2.1260 2.1304 1.7045
Dy 7.7064 4.6690 4.9218
Ge 4.9162 3.3997 3.3132
Pd 3.1731 4.7977 2.3457
Pd 4.9784 4.7002 5.4786
Pd 3.7162 2.2263 5.3568
Pd 6.1162 4.5731 1.2696
Pd 4.8540 2.0992 1.1478
Pd 6.6593 2.0016 4.2807
```

Most intense lines, 10° ≤ 2θ ≤ 90°, by angle:
26.91 deg, rel. 94; 33.57 deg, rel. 38; 35.48 deg, rel. 36; 36.45 deg, rel. 68; 38.15 deg, rel. 29; 38.40 deg, rel. 100; 39.13 deg, rel. 78; 40.01 deg, rel. 79; 43.64 deg, rel. 54; 43.93 deg, rel. 33

---

Diffraction record for Er5TmSc2In. The powder XRD pattern is theoretical, not measured: it uses a DFT-relaxed cell (PBE, Alexandria) and Cu Kα X-rays.
Neutral-atom scattering factors, no anomalous dispersion.

Cell and atoms:
```
18
Lattice="2.6148 -9.6761 0.0000 2.6148 9.6761 0.0000 0.0000 0.0000 10.3908" Properties=species:S:1:pos:R:3 pbc="T T T"
Er 2.6148 -9.6734 0.0000
Er 2.6148 9.6734 5.1954
Er 2.6148 7.3118 7.7966
Er 2.6148 5.6243 0.4983
Er 2.6148 5.6329 4.7042
Er 2.6148 0.1651 7.7972
Er 2.6148 -0.1651 2.6018
Er 2.6148 -5.6243 5.6937
Er 2.6148 -5.6329 9.8996
Er 2.6148 -7.3118 2.6013
Tm 2.6148 3.8875 7.7972
Tm 2.6148 -3.8875 2.6018
Sc 2.6148 2.2402 0.3975
Sc 2.6148 2.2428 4.8064
Sc 2.6148 -2.2402 5.5929
Sc 2.6148 -2.2428 10.0018
In 2.6148 7.8704 2.5942
In 2.6148 -7.8704 7.7896
```

Most intense lines, 10° ≤ 2θ ≤ 90°, by angle:
28.99 deg, rel. 13; 31.32 deg, rel. 27; 33.58 deg, rel. 100; 34.29 deg, rel. 30; 34.53 deg, rel. 19; 45.49 deg, rel. 11; 49.46 deg, rel. 13; 59.57 deg, rel. 9; 60.96 deg, rel. 18; 61.26 deg, rel. 8

---

Diffraction record for LaDy3Co8. The powder XRD pattern is theoretical, not measured: it uses a DFT-relaxed cell (PBE, Alexandria) and Cu Kα X-rays.
Neutral-atom scattering factors, no anomalous dispersion.

Cell and atoms:
```
12
Lattice="2.5471 1.4706 8.3487 -2.5471 1.4706 8.3487 0.0000 -2.9411 8.3487" Properties=species:S:1:pos:R:3 pbc="T T T"
La 0.0000 0.0000 0.0000
Dy 0.0000 0.0000 9.3872
Dy 0.0000 0.0000 12.5081
Dy 0.0000 0.0000 21.9108
Co 0.0000 0.0000 4.6787
Co 0.0000 -1.4592 15.0740
Co -1.2637 0.7296 15.0740
Co -1.2550 -0.7246 19.3460
Co 0.0000 0.0000 17.2227
Co 1.2637 0.7296 15.0740
Co 1.2550 -0.7246 19.3460
Co 0.0000 1.4492 19.3460
```

Most intense lines, 10° ≤ 2θ ≤ 90°, by angle:
21.34 deg, rel. 18; 35.19 deg, rel. 86; 41.51 deg, rel. 100; 41.57 deg, rel. 33; 43.50 deg, rel. 15; 63.20 deg, rel. 24; 67.45 deg, rel. 23; 67.53 deg, rel. 15; 74.30 deg, rel. 15; 74.51 deg, rel. 15

---

Diffraction record for PmSmZnSb. The powder XRD pattern is theoretical, not measured: it uses a DFT-relaxed cell (PBE, Alexandria) and Cu Kα X-rays.
Neutral-atom scattering factors, no anomalous dispersion.

Cell and atoms:
```
4
Lattice="0.0000 3.7547 3.7547 3.7547 0.0000 3.7547 3.7547 3.7547 0.0000" Properties=species:S:1:pos:R:3 pbc="T T T"
Pm 0.0000 0.0000 0.0000
Sm 3.7547 3.7547 3.7547
Zn 1.8773 1.8773 1.8773
Sb 5.6320 5.6320 5.6320
```

Most intense lines, 10° ≤ 2θ ≤ 90°, by angle:
20.48 deg, rel. 2; 23.70 deg, rel. 5; 33.76 deg, rel. 100; 39.81 deg, rel. 1; 41.66 deg, rel. 2; 48.49 deg, rel. 18; 54.66 deg, rel. 2; 60.39 deg, rel. 37; 71.00 deg, rel. 11; 80.98 deg, rel. 16

---

Diffraction record for Ho3Er4Pb4. The powder XRD pattern is theoretical, not measured: it uses a DFT-relaxed cell (PBE, Alexandria) and Cu Kα X-rays.
Neutral-atom scattering factors, no anomalous dispersion.

Cell and atoms:
```
11
Lattice="-2.0461 4.6815 8.6511 2.0461 -4.6815 8.6511 2.0461 4.6815 -8.6511" Properties=species:S:1:pos:R:3 pbc="T T T"
Ho 0.0000 0.0000 0.0000
Ho 2.0461 0.0000 6.8156
Ho 0.0000 4.6815 1.8354
Er 2.0461 1.8065 -2.9278
Er 2.0461 1.8065 2.9278
Er 0.0000 2.8750 5.7233
Er 0.0000 2.8750 11.5788
Pb 0.0000 0.0000 4.4212
Pb 2.0461 2.7112 0.0000
Pb 0.0000 1.9703 8.6511
Pb 0.0000 0.0000 12.8809
```

Most intense lines, 10° ≤ 2θ ≤ 90°, by angle:
29.45 deg, rel. 100; 31.58 deg, rel. 93; 32.62 deg, rel. 55; 33.93 deg, rel. 35; 36.60 deg, rel. 48; 37.71 deg, rel. 44; 44.27 deg, rel. 32; 56.06 deg, rel. 24; 58.23 deg, rel. 35; 58.74 deg, rel. 26

---

Diffraction record for PaMn2AlGe4. The powder XRD pattern is theoretical, not measured: it uses a DFT-relaxed cell (PBE, Alexandria) and Cu Kα X-rays.
Neutral-atom scattering factors, no anomalous dispersion.

Cell and atoms:
```
8
Lattice="3.6302 0.0000 0.0000 0.0000 3.6302 0.0000 0.0000 0.0000 10.8272" Properties=species:S:1:pos:R:3 pbc="T T T"
Pa 0.0000 0.0000 0.0000
Mn 1.8151 1.8151 4.2548
Mn 1.8151 1.8151 6.5724
Al 0.0000 0.0000 5.4136
Ge 0.0000 1.8151 2.4531
Ge 0.0000 1.8151 8.3741
Ge 1.8151 0.0000 2.4531
Ge 1.8151 0.0000 8.3741
```

Most intense lines, 10° ≤ 2θ ≤ 90°, by angle:
25.89 deg, rel. 74; 29.63 deg, rel. 33; 33.09 deg, rel. 19; 38.83 deg, rel. 100; 41.65 deg, rel. 49; 43.25 deg, rel. 33; 50.27 deg, rel. 33; 57.39 deg, rel. 16; 67.28 deg, rel. 31; 86.71 deg, rel. 20

---

Diffraction record for Pa2CuTc2. The powder XRD pattern is theoretical, not measured: it uses a DFT-relaxed cell (PBE, Alexandria) and Cu Kα X-rays.
Neutral-atom scattering factors, no anomalous dispersion.

Cell and atoms:
```
5
Lattice="-2.2009 2.9062 3.7504 2.2009 -2.9062 3.7504 2.2009 2.9062 -3.7504" Properties=species:S:1:pos:R:3 pbc="T T T"
Pa 0.0000 0.0000 1.4731
Pa 0.0000 0.0000 6.0277
Cu 0.0000 2.9062 0.0000
Tc 2.2009 1.4831 0.0000
Tc 0.0000 1.4232 3.7504
```

Most intense lines, 10° ≤ 2θ ≤ 90°, by angle:
25.38 deg, rel. 98; 35.02 deg, rel. 100; 39.03 deg, rel. 76; 39.22 deg, rel. 95; 41.01 deg, rel. 49; 41.54 deg, rel. 48; 57.49 deg, rel. 28; 58.04 deg, rel. 61; 74.35 deg, rel. 34; 78.96 deg, rel. 23